1.
Diffraction record for Li2VCrP2O8F2. The powder diffractogram is simulated, not measured: it uses a structure optimized by DFT (PBE+U) and copper Kα.
Neutral-atom scattering factors, no anomalous dispersion.

Structure:
```
data_Li2VCrP2O8F2
_space_group_name_H-M_alt 'P 1'
_space_group_IT_number 1
_cell_length_a 5.3708
_cell_length_b 7.4091
_cell_length_c 14.5509
_cell_angle_alpha 94.23
_cell_angle_beta 92.70
_cell_angle_gamma 109.78
loop_
_space_group_symop_operation_xyz
'x,y,z'
loop_
_atom_site_label
_atom_site_fract_x
_atom_site_fract_y
_atom_site_fract_z
Li1 0.0000 0.0000 0.0000
Li2 0.1313 0.9022 0.2799
Li3 0.3336 0.3338 0.3342
Li4 0.4661 0.2348 0.6124
Li5 0.6663 0.6675 0.6670
Li6 0.7996 0.5683 0.9457
V1 0.0655 0.4510 0.1401
V2 0.0658 0.4512 0.6396
V3 0.3996 0.7839 0.9725
Cr1 0.4000 0.7847 0.4731
Cr2 0.7332 0.1182 0.3072
Cr3 0.7330 0.1178 0.8065
P1 0.0391 0.0651 0.4932
P2 0.0919 0.8374 0.7861
P3 0.3736 0.3980 0.8266
P4 0.4252 0.1680 0.1203
P5 0.7082 0.7350 0.1605
P6 0.7589 0.5031 0.4525
O1 0.0304 0.6283 0.4251
O2 0.0331 0.0846 0.3862
O3 0.0959 0.8170 0.8929
O4 0.1024 0.2737 0.8544
O5 0.1335 0.2707 0.5457
O6 0.2015 0.2445 0.0898
O7 0.2665 0.9920 0.5230
O8 0.3320 0.9639 0.0674
O9 0.3634 0.9616 0.7587
O10 0.3689 0.4197 0.7199
O11 0.4316 0.1500 0.2270
O12 0.4365 0.6080 0.1877
O13 0.4680 0.6036 0.8790
O14 0.5324 0.5775 0.4228
O15 0.6003 0.3248 0.8570
O16 0.6634 0.2976 0.4010
O17 0.6957 0.2945 0.0921
O18 0.7035 0.7527 0.0534
O19 0.7639 0.4830 0.5596
O20 0.7684 0.9408 0.5212
O21 0.8018 0.9395 0.2121
O22 0.8650 0.9105 0.7557
O23 0.9312 0.6575 0.1909
O24 0.9986 0.6315 0.7340
F1 0.0195 0.3329 0.2632
F2 0.1078 0.5655 0.0173
F3 0.3589 0.6726 0.5932
F4 0.4453 0.9004 0.3521
F5 0.6922 0.0057 0.9271
F6 0.7732 0.2300 0.6863
```

The 6 most intense peaks (10° ≤ 2θ ≤ 90°), low angle first:
two_theta	intensity	hkl
18.40	40	0 0 3
18.54	60	0 1 2
26.68	73	0 1 -4
26.87	92	1 1 -2
29.03	100	-1 2 2
36.24	33	2 -1 2

2.
Diffraction record for CoH2O2. The powder diffractogram is simulated, not measured: it uses a structure optimized by DFT (PBE+U) and copper Kα.
Neutral-atom scattering factors, no anomalous dispersion.

Structure:
```
data_CoH2O2
_space_group_name_H-M_alt 'P 1'
_space_group_IT_number 1
_cell_length_a 3.2000
_cell_length_b 5.4505
_cell_length_c 5.5737
_cell_angle_alpha 113.37
_cell_angle_beta 91.26
_cell_angle_gamma 96.88
loop_
_space_group_symop_operation_xyz
'x,y,z'
loop_
_atom_site_label
_atom_site_fract_x
_atom_site_fract_y
_atom_site_fract_z
Co1 0.0000 0.0000 0.0000
Co2 0.4956 0.0002 0.4987
H1 0.0639 0.4058 0.8218
H2 0.4390 0.5945 0.6727
H3 0.5645 0.4062 0.3232
H4 0.9344 0.5940 0.1709
O1 0.0355 0.2098 0.7499
O2 0.4617 0.7904 0.7480
O3 0.5385 0.2103 0.2503
O4 0.9578 0.7898 0.2477
```

The 6 most intense peaks (10° ≤ 2θ ≤ 90°), low angle first:
two_theta	intensity	hkl
17.90	100	0 1 0
32.10	15	1 0 -1
34.45	22	1 0 1
38.55	25	-1 1 1
39.20	24	0 2 -2
44.18	17	1 1 1

3.
Diffraction record for Li3Mn2P2C2O14. The powder diffractogram is simulated, not measured: it uses a structure optimized by DFT (PBE+U) and copper Kα.
Neutral-atom scattering factors, no anomalous dispersion.

Structure:
```
data_Li3Mn2P2C2O14
_space_group_name_H-M_alt 'P 1'
_space_group_IT_number 1
_cell_length_a 5.0632
_cell_length_b 6.4759
_cell_length_c 8.3150
_cell_angle_alpha 90.93
_cell_angle_beta 94.13
_cell_angle_gamma 90.20
loop_
_space_group_symop_operation_xyz
'x,y,z'
loop_
_atom_site_label
_atom_site_fract_x
_atom_site_fract_y
_atom_site_fract_z
Li1 0.0000 0.0000 0.0000
Li2 0.0024 0.4677 0.9989
Li3 0.5161 0.5196 0.5173
Mn1 0.5464 0.7316 0.9159
Mn2 0.9573 0.2267 0.5822
P1 0.0327 0.7287 0.6718
P2 0.4850 0.2352 0.8297
C1 0.0383 0.2385 0.2988
C2 0.4655 0.7262 0.2012
O1 0.0847 0.2384 0.1519
O2 0.1747 0.2361 0.8021
O3 0.2239 0.2479 0.4174
O4 0.2748 0.7353 0.0803
O5 0.3386 0.7028 0.7088
O6 0.4203 0.7054 0.3427
O7 0.5833 0.0439 0.9242
O8 0.5831 0.4195 0.9394
O9 0.6005 0.2475 0.6634
O10 0.7013 0.7381 0.1436
O11 0.8021 0.2266 0.3506
O12 0.9132 0.7318 0.8410
O13 0.9241 0.5426 0.5694
O14 0.9604 0.9207 0.5761
```

The 6 most intense peaks (10° ≤ 2θ ≤ 90°), low angle first:
two_theta	intensity	hkl
10.67	100	0 0 1
17.24	22	0 1 -1
19.92	33	1 0 -1
21.25	45	1 0 1
26.82	36	1 0 -2
27.55	80	0 2 0

4.
Diffraction record for KLiNiO2. The powder diffractogram is simulated, not measured: it uses a structure optimized by DFT (PBE+U) and copper Kα.
Neutral-atom scattering factors, no anomalous dispersion.

Structure:
```
data_KLiNiO2
_space_group_name_H-M_alt 'P -1'
_space_group_IT_number 2
_cell_length_a 3.2349
_cell_length_b 5.9935
_cell_length_c 7.9079
_cell_angle_alpha 103.93
_cell_angle_beta 101.71
_cell_angle_gamma 105.63
loop_
_space_group_symop_operation_xyz
'x,y,z'
'-x,-y,-z'
loop_
_atom_site_label
_atom_site_fract_x
_atom_site_fract_y
_atom_site_fract_z
K1 0.0100 0.1572 0.3648
Li1 0.1924 0.8479 0.0373
Ni1 0.3703 0.4450 0.7928
O1 0.2527 0.7355 0.2733
O2 0.4166 0.2226 0.1113
```

The 6 most intense peaks (10° ≤ 2θ ≤ 90°), low angle first:
two_theta	intensity	hkl
16.17	48	0 1 0
24.21	83	0 0 2
28.88	100	1 -1 0
31.05	65	0 2 -1
35.11	95	0 1 -3
40.34	89	1 0 -3

5.
Diffraction record for Li7Mn5O12. The powder diffractogram is simulated, not measured: it uses a structure optimized by DFT (PBE+U) and copper Kα.
Neutral-atom scattering factors, no anomalous dispersion.

Structure:
```
data_Li7Mn5O12
_space_group_name_H-M_alt 'P -1'
_space_group_IT_number 2
_cell_length_a 5.2224
_cell_length_b 6.0192
_cell_length_c 7.7888
_cell_angle_alpha 76.34
_cell_angle_beta 74.94
_cell_angle_gamma 70.38
loop_
_space_group_symop_operation_xyz
'x,y,z'
'-x,-y,-z'
loop_
_atom_site_label
_atom_site_fract_x
_atom_site_fract_y
_atom_site_fract_z
Li1 0.0000 0.0000 0.0000
Li2 0.0000 0.5000 0.0000
Li3 0.0042 0.3419 0.6615
Li4 0.0051 0.8271 0.6612
Li5 0.5000 0.5000 0.5000
Mn1 0.4941 0.6621 0.8293
Mn2 0.4987 0.1687 0.8288
Mn3 0.5000 0.0000 0.5000
O1 0.2598 0.9847 0.7368
O2 0.2644 0.6539 0.0727
O3 0.2715 0.3166 0.4069
O4 0.2740 0.4885 0.7581
O5 0.2838 0.1571 0.0807
O6 0.2871 0.8508 0.4136
```

The 6 most intense peaks (10° ≤ 2θ ≤ 90°), low angle first:
two_theta	intensity	hkl
18.40	100	1 0 0
34.33	16	1 2 2
41.39	35	2 2 2
44.10	29	1 -2 1
44.34	28	1 0 -3
62.40	16	3 0 3

6.
Diffraction record for Li7Co5O12. The powder diffractogram is simulated, not measured: it uses a structure optimized by DFT (PBE+U) and copper Kα.
Neutral-atom scattering factors, no anomalous dispersion.

Structure:
```
data_Li7Co5O12
_space_group_name_H-M_alt 'P -1'
_space_group_IT_number 2
_cell_length_a 3.0008
_cell_length_b 5.1363
_cell_length_c 14.6691
_cell_angle_alpha 95.22
_cell_angle_beta 95.44
_cell_angle_gamma 105.89
loop_
_space_group_symop_operation_xyz
'x,y,z'
'-x,-y,-z'
loop_
_atom_site_label
_atom_site_fract_x
_atom_site_fract_y
_atom_site_fract_z
Li1 0.0000 0.0000 0.0000
Li2 0.0033 0.2457 0.7508
Li3 0.3337 0.0844 0.5831
Li4 0.3384 0.5898 0.0831
Co1 0.0000 0.5000 0.5000
Co2 0.3332 0.3329 0.3313
Co3 0.3395 0.8398 0.8404
O1 0.0040 0.3882 0.6218
O2 0.0171 0.0979 0.8720
O3 0.3207 0.9368 0.7161
O4 0.3254 0.7099 0.9460
O5 0.3445 0.2227 0.4538
O6 0.3620 0.4379 0.2109
```

The 6 most intense peaks (10° ≤ 2θ ≤ 90°), low angle first:
two_theta	intensity	hkl
18.38	100	0 1 -1
35.11	17	1 0 2
37.23	14	0 0 6
42.23	32	1 1 1
43.19	28	-1 2 2
45.42	24	0 1 -7

7.
Diffraction record for Sr2Mn2O5. The powder diffractogram is simulated, not measured: it uses a structure optimized by DFT (PBE+U) and copper Kα.
Neutral-atom scattering factors, no anomalous dispersion.

Structure:
```
data_Sr2Mn2O5
_space_group_name_H-M_alt 'P b a m'
_space_group_IT_number 55
_cell_length_a 5.6334
_cell_length_b 11.0564
_cell_length_c 3.8497
_cell_angle_alpha 90.00
_cell_angle_beta 90.00
_cell_angle_gamma 90.00
loop_
_space_group_symop_operation_xyz
'x,y,z'
'-x,-y,-z'
'-x,-y,z'
'x,y,-z'
'x+1/2,-y+1/2,-z'
'-x+1/2,y+1/2,z'
'-x+1/2,y+1/2,-z'
'x+1/2,-y+1/2,z'
loop_
_atom_site_label
_atom_site_fract_x
_atom_site_fract_y
_atom_site_fract_z
Sr1 0.2176 0.1332 0.0000
Mn1 0.2428 0.3762 0.5000
O1 0.0000 0.0000 0.5000
O2 0.0270 0.7305 0.5000
O3 0.2016 0.4021 0.0000
```

The 6 most intense peaks (10° ≤ 2θ ≤ 90°), low angle first:
two_theta	intensity	hkl
31.77	27	2 0 0
32.39	28	0 4 0
32.49	100	1 2 1
46.00	31	2 4 0
57.84	20	1 6 1
68.05	18	2 4 2

Q: Number 1 is which compound?
A: Li2VCrP2O8F2